# Sm2Mg12Hg7
Simulated powder XRD pattern, Cu Kα (λ = 1.5418 Å). Input: a crystal structure in Alexandria, relaxed with GGA-PBE.
Intensities are scaled so that the largest is 100.

Main lines, most intense first (10° ≤ 2θ ≤ 90°):
23.58°, I = 100; 31.60°, I = 72; 41.46°, I = 61; 27.44°, I = 55; 38.73°, I = 39; 25.92°, I = 33

Structure:
Lattice parameters (Å, degrees): 11.5255 11.5255 4.2839 90.00 90.00 120.00
Element x y z (fractional)
Sm: 0.3333 0.6667 0.2516
Sm: 0.6667 0.3333 0.7484
Mg: 0.0442 0.4315 0.7495
Mg: 0.1076 0.2653 0.2447
Mg: 0.1577 0.8924 0.2447
Mg: 0.2653 0.1577 0.7553
Mg: 0.3872 0.9558 0.7495
Mg: 0.4315 0.3872 0.2505
Mg: 0.5685 0.6128 0.7495
Mg: 0.6128 0.0442 0.2505
Mg: 0.7347 0.8423 0.2447
Mg: 0.8423 0.1076 0.7553
Mg: 0.8924 0.7347 0.7553
Mg: 0.9558 0.5685 0.2505
Hg: 0.0000 0.0000 0.5000
Hg: 0.1396 0.7116 0.7498
Hg: 0.2884 0.4280 0.7498
Hg: 0.4280 0.1396 0.2502
Hg: 0.5720 0.8604 0.7498
Hg: 0.7116 0.5720 0.2502
Hg: 0.8604 0.2884 0.2502

---

# Ba3TbAu2O6
Simulated powder XRD pattern, Cu Kα (λ = 1.5418 Å). Input: a crystal structure in Alexandria, relaxed with GGA-PBE.
Intensities are scaled so that the largest is 100.

Main lines, most intense first (10° ≤ 2θ ≤ 90°):
28.67°, I = 100; 30.65°, I = 79; 42.46°, I = 43; 52.04°, I = 37; 50.78°, I = 21; 68.29°, I = 17

Structure:
Lattice parameters (Å, degrees): 6.2277 6.2277 6.9358 90.00 90.00 120.00
Element x y z (fractional)
Ba: 0.0000 0.0000 0.0000
Ba: 0.3333 0.6667 0.6304
Ba: 0.6667 0.3333 0.3696
Tb: 0.0000 0.0000 0.5000
Au: 0.3333 0.6667 0.1320
Au: 0.6667 0.3333 0.8680
O: 0.1653 0.3305 0.3093
O: 0.1653 0.8347 0.3093
O: 0.3305 0.1653 0.6907
O: 0.6695 0.8347 0.3093
O: 0.8347 0.1653 0.6907
O: 0.8347 0.6695 0.6907

---

Repeat the first record exactly.
# Sm2Mg12Hg7
Simulated powder XRD pattern, Cu Kα (λ = 1.5418 Å). Input: a crystal structure in Alexandria, relaxed with GGA-PBE.
Intensities are scaled so that the largest is 100.

Main lines, most intense first (10° ≤ 2θ ≤ 90°):
23.58°, I = 100; 31.60°, I = 72; 41.46°, I = 61; 27.44°, I = 55; 38.73°, I = 39; 25.92°, I = 33

Structure:
Lattice parameters (Å, degrees): 11.5255 11.5255 4.2839 90.00 90.00 120.00
Element x y z (fractional)
Sm: 0.3333 0.6667 0.2516
Sm: 0.6667 0.3333 0.7484
Mg: 0.0442 0.4315 0.7495
Mg: 0.1076 0.2653 0.2447
Mg: 0.1577 0.8924 0.2447
Mg: 0.2653 0.1577 0.7553
Mg: 0.3872 0.9558 0.7495
Mg: 0.4315 0.3872 0.2505
Mg: 0.5685 0.6128 0.7495
Mg: 0.6128 0.0442 0.2505
Mg: 0.7347 0.8423 0.2447
Mg: 0.8423 0.1076 0.7553
Mg: 0.8924 0.7347 0.7553
Mg: 0.9558 0.5685 0.2505
Hg: 0.0000 0.0000 0.5000
Hg: 0.1396 0.7116 0.7498
Hg: 0.2884 0.4280 0.7498
Hg: 0.4280 0.1396 0.2502
Hg: 0.5720 0.8604 0.7498
Hg: 0.7116 0.5720 0.2502
Hg: 0.8604 0.2884 0.2502